Structure and theoretical powder diffractogram of Li2CdBr4 (a cell relaxed with GGA-PBE; Cu Kα (weighted mean of Kα1 and Kα2)).
Neutral-atom scattering factors, no anomalous dispersion.

The 10 most intense peaks (10° ≤ 2θ ≤ 80°), sorted by position:
- hkl 1 0 0, 2θ 14.7, rel. 16
- hkl 1 0 1, 2θ 21.2, rel. 18
- hkl 1 1 1, 2θ 25.9, rel. 100
- hkl 2 0 0, 2θ 29.6, rel. 12
- hkl 2 2 0, 2θ 42.4, rel. 21
- hkl 2 0 2, 2θ 43.1, rel. 41
- hkl 3 1 1, 2θ 50.4, rel. 30
- hkl 1 1 3, 2θ 51.6, rel. 14
- hkl 3 1 3, 2θ 68.9, rel. 12
- hkl 4 2 2, 2θ 78.1, rel. 14

Structural model:
a b c (Å): 6.0273 6.0273 5.8487
angles (deg): 90.00 90.00 90.00
Fractional coordinates of all 7 atoms:
Li (0.0000, 0.5000, 0.0000)
Li (0.5000, 0.0000, 0.0000)
Cd (0.0000, 0.0000, 0.5000)
Br (0.2560, 0.2560, 0.7571)
Br (0.2560, 0.7440, 0.2429)
Br (0.7440, 0.2560, 0.2429)
Br (0.7440, 0.7440, 0.7571)